# 1
Calculated powder diffractogram of Sr2ZrAgSe5 for Cu Kα (weighted mean of Kα1 and Kα2), from the PBE geometry in Alexandria.
No peak broadening, texture or thermal motion is included.

The 6 most intense peaks (10° ≤ 2θ ≤ 90°), in order of rising 2θ:
Position (°2θ), I (rel.)
30.10, 59
30.80, 100
35.90, 38
43.51, 22
44.73, 30
50.34, 25

Atomic structure:
```
data_Sr2ZrAgSe5
_symmetry_space_group_name_H-M 'P 1'
_symmetry_Int_Tables_number 1
_symmetry_space_group_name_Hall 'P 1'
_cell_length_a 9.3766
_cell_length_b 9.3766
_cell_length_c 12.8198
_cell_angle_alpha 90.00
_cell_angle_beta 90.00
_cell_angle_gamma 155.04
loop_
_atom_site_label
_atom_site_fract_x
_atom_site_fract_y
_atom_site_fract_z
Sr1 0.1153 0.8847 0.5000
Sr2 0.1247 0.8753 0.1361
Sr3 0.8753 0.1247 0.6361
Sr4 0.8847 0.1153 0.0000
Zr1 0.1999 0.8001 0.8324
Zr2 0.8001 0.1999 0.3324
Ag1 0.4402 0.5598 0.2535
Ag2 0.5598 0.4402 0.7535
Se1 0.0522 0.9478 0.8758
Se2 0.2895 0.7105 0.4769
Se3 0.3002 0.6998 0.1833
Se4 0.3478 0.6522 0.8219
Se5 0.4960 0.5040 0.5754
Se6 0.5040 0.4960 0.0754
Se7 0.6522 0.3478 0.3219
Se8 0.6998 0.3002 0.6833
Se9 0.7105 0.2895 0.9769
Se10 0.9478 0.0522 0.3758
```

# 2
Calculated powder diffractogram of Sm2PuAl2Ru5 for Cu Kα (weighted mean of Kα1 and Kα2), from the PBE geometry in Alexandria.
No peak broadening, texture or thermal motion is included.

The 6 most intense peaks (10° ≤ 2θ ≤ 90°), in order of rising 2θ:
Position (°2θ), I (rel.)
12.18, 20
32.86, 30
36.04, 39
36.27, 29
38.40, 100
39.21, 26

Atomic structure:
```
data_Sm2PuAl2Ru5
_symmetry_space_group_name_H-M 'P 1'
_symmetry_Int_Tables_number 1
_symmetry_space_group_name_Hall 'P 1'
_cell_length_a 10.2762
_cell_length_b 10.2762
_cell_length_c 3.3857
_cell_angle_alpha 90.00
_cell_angle_beta 90.00
_cell_angle_gamma 90.00
loop_
_atom_site_label
_atom_site_fract_x
_atom_site_fract_y
_atom_site_fract_z
Sm1 0.1711 0.3289 0.0000
Sm2 0.3289 0.8289 0.0000
Sm3 0.6711 0.1711 0.0000
Sm4 0.8289 0.6711 0.0000
Pu1 0.0000 0.0000 0.0000
Pu2 0.5000 0.5000 0.0000
Al1 0.1257 0.6257 0.0000
Al2 0.3743 0.1257 0.0000
Al3 0.6257 0.8743 0.0000
Al4 0.8743 0.3743 0.0000
Ru1 0.0000 0.5000 0.5000
Ru2 0.0668 0.7985 0.5000
Ru3 0.2015 0.0668 0.5000
Ru4 0.2985 0.5668 0.5000
Ru5 0.4332 0.2985 0.5000
Ru6 0.5000 0.0000 0.5000
Ru7 0.5668 0.7015 0.5000
Ru8 0.7015 0.4332 0.5000
Ru9 0.7985 0.9332 0.5000
Ru10 0.9332 0.2015 0.5000
```

# 3
Calculated powder diffractogram of Sr2Tl3SbSe6 for Cu Kα (weighted mean of Kα1 and Kα2), from the PBE geometry in Alexandria.
No peak broadening, texture or thermal motion is included.

The 6 most intense peaks (10° ≤ 2θ ≤ 90°), in order of rising 2θ:
Position (°2θ), I (rel.)
24.71, 22
28.39, 52
28.59, 100
40.56, 37
40.90, 37
50.67, 29

Atomic structure:
```
data_Sr2Tl3SbSe6
_symmetry_space_group_name_H-M 'P 1'
_symmetry_Int_Tables_number 1
_symmetry_space_group_name_Hall 'P 1'
_cell_length_a 7.6223
_cell_length_b 7.6223
_cell_length_c 7.7372
_cell_angle_alpha 99.69
_cell_angle_beta 99.69
_cell_angle_gamma 119.73
loop_
_atom_site_label
_atom_site_fract_x
_atom_site_fract_y
_atom_site_fract_z
Sr1 0.1636 0.8364 0.0000
Sr2 0.8364 0.1636 0.0000
Tl1 0.0000 0.0000 0.5000
Tl2 0.3228 0.6772 0.5000
Tl3 0.6772 0.3228 0.5000
Sb1 0.5000 0.5000 0.0000
Se1 0.1259 0.4272 0.7843
Se2 0.2775 0.2775 0.2312
Se3 0.4272 0.1259 0.7843
Se4 0.5728 0.8741 0.2157
Se5 0.7225 0.7225 0.7688
Se6 0.8741 0.5728 0.2157
```

# 4
Calculated powder diffractogram of Pm2MgTe3 for Cu Kα (weighted mean of Kα1 and Kα2), from the PBE geometry in Alexandria.
No peak broadening, texture or thermal motion is included.

The 6 most intense peaks (10° ≤ 2θ ≤ 90°), in order of rising 2θ:
Position (°2θ), I (rel.)
25.85, 84
34.07, 100
39.51, 62
53.14, 28
67.06, 26
68.20, 26

Atomic structure:
```
data_Pm2MgTe3
_symmetry_space_group_name_H-M 'P 1'
_symmetry_Int_Tables_number 1
_symmetry_space_group_name_Hall 'P 1'
_cell_length_a 8.4039
_cell_length_b 8.4039
_cell_length_c 8.4039
_cell_angle_alpha 56.08
_cell_angle_beta 56.08
_cell_angle_gamma 56.08
loop_
_atom_site_label
_atom_site_fract_x
_atom_site_fract_y
_atom_site_fract_z
Pm1 0.1647 0.1647 0.1647
Pm2 0.3353 0.3353 0.3353
Pm3 0.6647 0.6647 0.6647
Pm4 0.8353 0.8353 0.8353
Mg1 0.0000 0.0000 0.0000
Mg2 0.5000 0.5000 0.5000
Te1 0.0848 0.7500 0.4152
Te2 0.2500 0.5848 0.9152
Te3 0.4152 0.0848 0.7500
Te4 0.5848 0.9152 0.2500
Te5 0.7500 0.4152 0.0848
Te6 0.9152 0.2500 0.5848
```